Entry 1:
Calculated PXRD pattern of NbGaPb2O6 for Cu Kα, 1.54184 Å, from DFT lattice parameters and positions (GGA-PBE).
Lines closer than 0.1° are merged.

Top 6 peaks for 2θ = 15–90°, by angle:
d [Å]  I_rel
4.023  16
2.845  100
2.012  28
1.642  41
1.422  18
1.272  18

Structural model:
```
NbGaPb2O6
1.0
0.0000 4.0233 4.0233
4.0233 0.0000 4.0233
4.0233 4.0233 0.0000
Nb Ga Pb O
1 1 2 6
direct
0.0000 0.0000 0.0000
0.5000 0.5000 0.5000
0.2500 0.2500 0.2500
0.7500 0.7500 0.7500
0.2507 0.2507 0.7493
0.2507 0.7493 0.2507
0.2507 0.7493 0.7493
0.7493 0.2507 0.2507
0.7493 0.2507 0.7493
0.7493 0.7493 0.2507
```

=====

Entry 2:
Calculated PXRD pattern of Nb6GaSb for Cu Kα, 1.54184 Å, from DFT lattice parameters and positions (GGA-PBE).
Lines closer than 0.1° are merged.

Top 6 peaks for 2θ = 15–90°, by angle:
d [Å]  I_rel
2.629  35
2.352  100
2.147  76
1.458  21
1.405  38
1.148  19

Structural model:
```
Nb6GaSb
1.0
5.2585 0.0000 0.0000
0.0000 5.2585 0.0000
0.0000 0.0000 5.2585
Nb Ga Sb
6 1 1
direct
0.0000 0.2512 0.5000
0.0000 0.7488 0.5000
0.2512 0.5000 0.0000
0.5000 0.0000 0.2512
0.5000 0.0000 0.7488
0.7488 0.5000 0.0000
0.0000 0.0000 0.0000
0.5000 0.5000 0.5000
```

=====

Entry 3:
Calculated PXRD pattern of Zr4NbGa3 for Cu Kα, 1.54184 Å, from DFT lattice parameters and positions (GGA-PBE).
Lines closer than 0.1° are merged.

Top 6 peaks for 2θ = 15–90°, by angle:
d [Å]  I_rel
2.618  67
2.421  69
2.395  48
2.357  100
2.190  42
1.531  27

Structural model:
```
Zr4NbGa3
1.0
-5.4139 5.4139 2.6703
5.4139 -5.4139 2.6703
5.4139 5.4139 -2.6703
Zr Nb Ga
8 2 6
direct
0.0812 0.7801 0.8614
0.2199 0.0812 0.3011
0.2801 0.5812 0.8614
0.4188 0.2801 0.6989
0.5812 0.7199 0.3011
0.7199 0.4188 0.1386
0.7801 0.9188 0.6989
0.9188 0.2199 0.1386
0.2500 0.7500 0.5000
0.7500 0.2500 0.5000
0.1584 0.3416 0.5000
0.2500 0.2500 0.0000
0.3416 0.8416 0.1832
0.6584 0.1584 0.8168
0.7500 0.7500 0.0000
0.8416 0.6584 0.5000
```

=====

Entry 4:
Calculated PXRD pattern of Nd3Ga2 for Cu Kα, 1.54184 Å, from DFT lattice parameters and positions (GGA-PBE).
Lines closer than 0.1° are merged.

Top 6 peaks for 2θ = 15–90°, by angle:
d [Å]  I_rel
2.872  100
2.842  29
2.807  41
2.717  93
2.696  25
2.544  30

Structural model:
```
Nd3Ga2
1.0
-6.0286 6.0286 7.7440
6.0286 -6.0286 7.7440
6.0286 6.0286 -7.7440
Nd Ga
24 16
direct
0.0664 0.9313 0.2699
0.0687 0.3385 0.1351
0.1486 0.6486 0.5000
0.1615 0.4313 0.8649
0.1683 0.3317 0.5000
0.2034 0.9336 0.8649
0.2966 0.1615 0.7301
0.3317 0.8317 0.1634
0.3385 0.2034 0.2699
0.3514 0.8514 0.5000
0.4313 0.5664 0.2699
0.4336 0.7034 0.8649
0.5664 0.2966 0.1351
0.5687 0.4336 0.7301
0.6486 0.1486 0.5000
0.6615 0.7966 0.7301
0.6683 0.1683 0.8366
0.7034 0.8385 0.2699
0.7966 0.0664 0.1351
0.8317 0.6683 0.5000
0.8385 0.5687 0.1351
0.8514 0.3514 0.5000
0.9313 0.6615 0.8649
0.9336 0.0687 0.7301
0.0000 0.0000 0.0000
0.0228 0.8795 0.5000
0.1156 0.6156 0.7312
0.1205 0.6205 0.1434
0.2500 0.2500 0.0000
0.3795 0.5228 0.5000
0.3844 0.1156 0.5000
0.4772 0.9772 0.8566
0.5000 0.5000 0.0000
0.5228 0.0228 0.1434
0.6156 0.8844 0.5000
0.6205 0.4772 0.5000
0.7500 0.7500 0.0000
0.8795 0.3795 0.8566
0.8844 0.3844 0.2688
0.9772 0.1205 0.5000
```

=====

Entry 5:
Calculated PXRD pattern of Nd3Ga for Cu Kα, 1.54184 Å, from DFT lattice parameters and positions (GGA-PBE).
Lines closer than 0.1° are merged.

Top 6 peaks for 2θ = 15–90°, by angle:
d [Å]  I_rel
2.808  100
2.432  50
1.720  35
1.467  41
1.404  12
1.116  17

Structural model:
```
Nd3Ga
1.0
4.8644 0.0000 0.0000
0.0000 4.8644 0.0000
0.0000 0.0000 4.8644
Nd Ga
3 1
direct
0.0000 0.0000 0.5000
0.0000 0.5000 0.0000
0.5000 0.0000 0.0000
0.5000 0.5000 0.5000
```

=====

Entry 6:
Calculated PXRD pattern of NdGa6 for Cu Kα, 1.54184 Å, from DFT lattice parameters and positions (GGA-PBE).
Lines closer than 0.1° are merged.

Top 6 peaks for 2θ = 15–90°, by angle:
d [Å]  I_rel
2.862  33
2.827  100
2.564  27
2.218  24
2.197  42
2.151  39

Structural model:
```
NdGa6
1.0
6.0830 0.0000 0.0000
0.0000 6.0830 0.0000
0.0000 0.0000 7.6655
Nd Ga
2 12
direct
0.2500 0.7500 0.0000
0.7500 0.2500 0.0000
0.0577 0.5577 0.3495
0.0577 0.9423 0.6505
0.2500 0.2500 0.1617
0.2500 0.2500 0.8383
0.4423 0.5577 0.6505
0.4423 0.9423 0.3495
0.5577 0.0577 0.6505
0.5577 0.4423 0.3495
0.7500 0.7500 0.1617
0.7500 0.7500 0.8383
0.9423 0.0577 0.3495
0.9423 0.4423 0.6505
```